(1)
Starting from a DFT-relaxed cell (PBE, Alexandria), the powder XRD pattern of Cs8H8Pt3 was simulated for CuKα.
Peak positions follow from Bragg's law for the DFT cell and can differ from measured ones.

Peak list (12 most intense, 15° ≤ 2θ ≤ 90°, in order of rising 2θ)
2θ = 15.97°, 5.549 Å, rel. 27
2θ = 16.34°, 5.426 Å, rel. 20
2θ = 24.49°, 3.634 Å, rel. 23
2θ = 24.81°, 3.588 Å, rel. 27
2θ = 25.02°, 3.559 Å, rel. 29
2θ = 25.66°, 3.472 Å, rel. 30
2θ = 28.26°, 3.157 Å, rel. 100
2θ = 28.69°, 3.112 Å, rel. 93
2θ = 29.97°, 2.982 Å, rel. 71
2θ = 30.87°, 2.897 Å, rel. 31
2θ = 31.28°, 2.860 Å, rel. 43
2θ = 52.42°, 1.746 Å, rel. 29

a = 11.807 Å, b = 11.807 Å, c = 8.615 Å
α = 110.14°, β = 110.14°, γ = 29.26°
Atoms (fractional coordinates):
Cs 0.021 0.021 0.265
Cs 0.212 0.212 0.138
Cs 0.334 0.334 0.597
Cs 0.391 0.391 0.198
Cs 0.609 0.609 0.802
Cs 0.666 0.666 0.403
Cs 0.788 0.788 0.862
Cs 0.979 0.979 0.735
H 0.127 0.127 0.788
H 0.189 0.189 0.493
H 0.247 0.247 0.819
H 0.472 0.472 0.792
H 0.528 0.528 0.208
H 0.753 0.753 0.181
H 0.811 0.811 0.507
H 0.873 0.873 0.212
Pt 0.171 0.171 0.667
Pt 0.500 0.500 0.000
Pt 0.829 0.829 0.333

=====

(2)
Starting from a DFT-relaxed cell (PBE, Alexandria), the powder XRD pattern of Ti6H3C2O was simulated for CuKα.
Peak positions follow from Bragg's law for the DFT cell and can differ from measured ones.

Peak list (12 most intense, 15° ≤ 2θ ≤ 90°, in order of rising 2θ)
2θ = 18.34°, 4.838 Å, rel. 13
2θ = 36.10°, 2.488 Å, rel. 100
2θ = 37.17°, 2.419 Å, rel. 30
2θ = 42.08°, 2.147 Å, rel. 74
2θ = 42.57°, 2.124 Å, rel. 36
2θ = 60.38°, 1.533 Å, rel. 11
2θ = 60.63°, 1.527 Å, rel. 22
2θ = 61.66°, 1.504 Å, rel. 10
2θ = 62.17°, 1.493 Å, rel. 19
2θ = 72.37°, 1.306 Å, rel. 8
2θ = 72.91°, 1.297 Å, rel. 11
2θ = 76.66°, 1.243 Å, rel. 10

a = 5.304 Å, b = 5.304 Å, c = 5.129 Å
α = 99.52°, β = 99.52°, γ = 120.24°
Atoms (fractional coordinates):
Ti 0.077 0.410 0.236
Ti 0.256 0.256 0.762
Ti 0.410 0.077 0.236
Ti 0.590 0.923 0.764
Ti 0.744 0.744 0.238
Ti 0.923 0.590 0.764
H 0.168 0.832 0.500
H 0.500 0.500 0.500
H 0.832 0.168 0.500
C 0.334 0.666 0.000
C 0.666 0.334 0.000
O 0.000 0.000 0.000

=====

(3)
Starting from a DFT-relaxed cell (PBE, Alexandria), the powder XRD pattern of Sm2Fe17C was simulated for CuKα.
Peak positions follow from Bragg's law for the DFT cell and can differ from measured ones.

Peak list (12 most intense, 15° ≤ 2θ ≤ 90°, in order of rising 2θ)
2θ = 29.97°, 2.981 Å, rel. 40
2θ = 36.02°, 2.494 Å, rel. 41
2θ = 37.77°, 2.382 Å, rel. 32
2θ = 41.83°, 2.160 Å, rel. 71
2θ = 42.37°, 2.133 Å, rel. 100
2θ = 43.39°, 2.086 Å, rel. 20
2θ = 43.94°, 2.061 Å, rel. 47
2θ = 47.54°, 1.913 Å, rel. 21
2θ = 61.04°, 1.518 Å, rel. 16
2θ = 62.25°, 1.491 Å, rel. 12
2θ = 69.11°, 1.359 Å, rel. 14
2θ = 76.38°, 1.247 Å, rel. 16

a = 6.473 Å, b = 6.473 Å, c = 6.460 Å
α = 96.21°, β = 96.21°, γ = 83.75°
Atoms (fractional coordinates):
Sm 0.161 0.161 0.352
Sm 0.839 0.839 0.648
Fe 0.000 0.500 0.000
Fe 0.157 0.649 0.344
Fe 0.158 0.158 0.852
Fe 0.214 0.501 0.714
Fe 0.214 0.786 0.000
Fe 0.351 0.843 0.656
Fe 0.403 0.403 0.098
Fe 0.499 0.786 0.286
Fe 0.500 0.000 0.000
Fe 0.500 0.500 0.500
Fe 0.501 0.214 0.714
Fe 0.597 0.597 0.902
Fe 0.649 0.157 0.344
Fe 0.786 0.214 0.000
Fe 0.786 0.499 0.286
Fe 0.842 0.842 0.148
Fe 0.843 0.351 0.656
C 0.000 0.000 0.000

=====

(4)
Starting from a DFT-relaxed cell (PBE, Alexandria), the powder XRD pattern of NdMgPb was simulated for CuKα.
Peak positions follow from Bragg's law for the DFT cell and can differ from measured ones.

Peak list (12 most intense, 15° ≤ 2θ ≤ 90°, in order of rising 2θ)
2θ = 21.70°, 4.095 Å, rel. 55
2θ = 27.64°, 3.227 Å, rel. 100
2θ = 29.76°, 3.002 Å, rel. 23
2θ = 32.81°, 2.730 Å, rel. 19
2θ = 33.68°, 2.661 Å, rel. 24
2θ = 35.42°, 2.534 Å, rel. 95
2θ = 39.49°, 2.282 Å, rel. 53
2θ = 43.43°, 2.084 Å, rel. 29
2θ = 45.51°, 1.993 Å, rel. 33
2θ = 52.25°, 1.751 Å, rel. 21
2θ = 64.58°, 1.443 Å, rel. 19
2θ = 69.00°, 1.361 Å, rel. 28

a = 8.802 Å, b = 8.802 Å, c = 8.802 Å
α = 149.95°, β = 149.95°, γ = 43.01°
Atoms (fractional coordinates):
Nd 0.163 0.163 0.000
Nd 0.837 0.837 0.000
Mg 0.000 0.500 0.500
Mg 0.500 0.000 0.500
Pb 0.364 0.364 0.000
Pb 0.636 0.636 0.000

=====

(5)
Starting from a DFT-relaxed cell (PBE, Alexandria), the powder XRD pattern of Tm3BiP2 was simulated for CuKα.
Peak positions follow from Bragg's law for the DFT cell and can differ from measured ones.

Peak list (12 most intense, 15° ≤ 2θ ≤ 90°, in order of rising 2θ)
2θ = 26.83°, 3.322 Å, rel. 75
2θ = 29.89°, 2.989 Å, rel. 84
2θ = 30.63°, 2.919 Å, rel. 22
2θ = 31.33°, 2.855 Å, rel. 29
2θ = 34.01°, 2.636 Å, rel. 100
2θ = 34.67°, 2.588 Å, rel. 17
2θ = 36.50°, 2.462 Å, rel. 49
2θ = 37.14°, 2.421 Å, rel. 26
2θ = 48.85°, 1.864 Å, rel. 17
2θ = 53.07°, 1.726 Å, rel. 32
2θ = 55.76°, 1.649 Å, rel. 52
2θ = 64.13°, 1.452 Å, rel. 23

a = 6.599 Å, b = 6.599 Å, c = 9.683 Å
α = 90.00°, β = 90.00°, γ = 136.20°
Atoms (fractional coordinates):
Tm 0.094 0.906 0.750
Tm 0.376 0.624 0.546
Tm 0.376 0.624 0.954
Tm 0.624 0.376 0.046
Tm 0.624 0.376 0.454
Tm 0.906 0.094 0.250
Bi 0.218 0.782 0.250
Bi 0.782 0.218 0.750
P 0.000 0.000 0.000
P 0.000 0.000 0.500
P 0.471 0.529 0.250
P 0.529 0.471 0.750

=====

(6)
Starting from a DFT-relaxed cell (PBE, Alexandria), the powder XRD pattern of Zr3ZnIr2 was simulated for CuKα.
Peak positions follow from Bragg's law for the DFT cell and can differ from measured ones.

Peak list (12 most intense, 15° ≤ 2θ ≤ 90°, in order of rising 2θ)
2θ = 20.49°, 4.334 Å, rel. 7
2θ = 27.61°, 3.230 Å, rel. 6
2θ = 32.88°, 2.724 Å, rel. 4
2θ = 37.89°, 2.374 Å, rel. 100
2θ = 39.45°, 2.284 Å, rel. 45
2θ = 52.25°, 1.751 Å, rel. 10
2θ = 57.02°, 1.615 Å, rel. 15
2θ = 67.39°, 1.390 Å, rel. 19
2θ = 70.52°, 1.335 Å, rel. 31
2θ = 80.99°, 1.187 Å, rel. 11
2θ = 84.91°, 1.142 Å, rel. 5
2θ = 89.22°, 1.098 Å, rel. 9

a = 7.224 Å, b = 7.224 Å, c = 3.502 Å
α = 90.00°, β = 90.00°, γ = 143.14°
Atoms (fractional coordinates):
Zr 0.000 0.000 0.000
Zr 0.331 0.669 0.000
Zr 0.669 0.331 0.000
Zn 0.500 0.500 0.500
Ir 0.164 0.836 0.500
Ir 0.836 0.164 0.500

=====

(7)
Starting from a DFT-relaxed cell (PBE, Alexandria), the powder XRD pattern of Nd10Ge3Sb3 was simulated for CuKα.
Peak positions follow from Bragg's law for the DFT cell and can differ from measured ones.

Peak list (12 most intense, 15° ≤ 2θ ≤ 90°, in order of rising 2θ)
2θ = 27.10°, 3.291 Å, rel. 16
2θ = 29.40°, 3.038 Å, rel. 23
2θ = 29.89°, 2.989 Å, rel. 35
2θ = 32.91°, 2.721 Å, rel. 100
2θ = 33.57°, 2.669 Å, rel. 87
2θ = 34.01°, 2.636 Å, rel. 50
2θ = 48.54°, 1.876 Å, rel. 24
2θ = 51.69°, 1.769 Å, rel. 28
2θ = 52.31°, 1.749 Å, rel. 15
2θ = 54.12°, 1.695 Å, rel. 17
2θ = 65.48°, 1.425 Å, rel. 14
2θ = 67.06°, 1.396 Å, rel. 13

a = 9.131 Å, b = 9.131 Å, c = 6.581 Å
α = 90.00°, β = 90.00°, γ = 120.00°
Atoms (fractional coordinates):
Nd 0.000 0.246 0.000
Nd 0.000 0.753 0.500
Nd 0.246 0.000 0.000
Nd 0.247 0.247 0.500
Nd 0.333 0.667 0.257
Nd 0.333 0.667 0.743
Nd 0.667 0.333 0.257
Nd 0.667 0.333 0.743
Nd 0.753 0.000 0.500
Nd 0.754 0.754 0.000
Ge 0.000 0.386 0.500
Ge 0.386 0.000 0.500
Ge 0.614 0.614 0.500
Sb 0.000 0.609 0.000
Sb 0.391 0.391 0.000
Sb 0.609 0.000 0.000

=====

(8)
Starting from a DFT-relaxed cell (PBE, Alexandria), the powder XRD pattern of KScNi2 was simulated for CuKα.
Peak positions follow from Bragg's law for the DFT cell and can differ from measured ones.

Peak list (12 most intense, 15° ≤ 2θ ≤ 90°, in order of rising 2θ)
2θ = 25.59°, 3.481 Å, rel. 44
2θ = 26.02°, 3.425 Å, rel. 33
2θ = 26.33°, 3.385 Å, rel. 24
2θ = 31.65°, 2.827 Å, rel. 87
2θ = 34.56°, 2.595 Å, rel. 77
2θ = 34.89°, 2.572 Å, rel. 56
2θ = 39.39°, 2.288 Å, rel. 100
2θ = 46.65°, 1.947 Å, rel. 37
2θ = 47.81°, 1.902 Å, rel. 76
2θ = 50.73°, 1.800 Å, rel. 28
2θ = 57.47°, 1.604 Å, rel. 28
2θ = 58.70°, 1.573 Å, rel. 29

a = 3.600 Å, b = 3.894 Å, c = 7.080 Å
α = 90.00°, β = 104.64°, γ = 90.00°
Atoms (fractional coordinates):
K 0.000 0.000 0.000
Sc 0.266 0.500 0.537
Ni 0.641 0.500 0.285
Ni 0.732 0.000 0.472

=====

(9)
Starting from a DFT-relaxed cell (PBE, Alexandria), the powder XRD pattern of Li5H4F was simulated for CuKα.
Peak positions follow from Bragg's law for the DFT cell and can differ from measured ones.

Peak list (12 most intense, 15° ≤ 2θ ≤ 90°, in order of rising 2θ)
2θ = 15.21°, 5.824 Å, rel. 81
2θ = 22.90°, 3.883 Å, rel. 31
2θ = 30.70°, 2.912 Å, rel. 14
2θ = 36.50°, 2.462 Å, rel. 26
2θ = 36.78°, 2.443 Å, rel. 25
2θ = 37.89°, 2.375 Å, rel. 23
2θ = 40.79°, 2.212 Å, rel. 19
2θ = 42.05°, 2.149 Å, rel. 17
2θ = 44.97°, 2.016 Å, rel. 100
2θ = 46.60°, 1.949 Å, rel. 11
2θ = 65.48°, 1.425 Å, rel. 53
2θ = 83.00°, 1.163 Å, rel. 11

a = 11.764 Å, b = 11.764 Å, c = 11.764 Å
α = 13.91°, β = 13.91°, γ = 13.91°
Atoms (fractional coordinates):
Li 0.000 0.000 0.000
Li 0.200 0.200 0.200
Li 0.399 0.399 0.399
Li 0.601 0.601 0.601
Li 0.800 0.800 0.800
H 0.099 0.099 0.099
H 0.300 0.300 0.300
H 0.700 0.700 0.700
H 0.901 0.901 0.901
F 0.500 0.500 0.500

=====

(10)
Starting from a DFT-relaxed cell (PBE, Alexandria), the powder XRD pattern of RbTePb2Se4 was simulated for CuKα.
Peak positions follow from Bragg's law for the DFT cell and can differ from measured ones.

Peak list (12 most intense, 15° ≤ 2θ ≤ 90°, in order of rising 2θ)
2θ = 23.84°, 3.733 Å, rel. 20
2θ = 25.08°, 3.551 Å, rel. 15
2θ = 26.95°, 3.309 Å, rel. 57
2θ = 28.99°, 3.080 Å, rel. 100
2θ = 38.33°, 2.348 Å, rel. 20
2θ = 40.03°, 2.253 Å, rel. 39
2θ = 41.49°, 2.177 Å, rel. 56
2θ = 45.05°, 2.012 Å, rel. 9
2θ = 48.79°, 1.866 Å, rel. 19
2θ = 51.47°, 1.775 Å, rel. 20
2θ = 63.90°, 1.457 Å, rel. 8
2θ = 67.12°, 1.395 Å, rel. 8

a = 8.725 Å, b = 8.725 Å, c = 8.718 Å
α = 117.50°, β = 117.50°, γ = 89.66°
Atoms (fractional coordinates):
Rb 0.000 0.000 0.000
Rb 0.000 0.000 0.500
Te 0.000 0.500 0.000
Te 0.500 0.000 0.500
Pb 0.000 0.500 0.500
Pb 0.500 0.000 0.000
Pb 0.500 0.500 0.000
Pb 0.500 0.500 0.500
Se 0.218 0.703 0.956
Se 0.257 0.289 0.034
Se 0.289 0.257 0.534
Se 0.297 0.782 0.544
Se 0.703 0.218 0.456
Se 0.711 0.743 0.466
Se 0.743 0.711 0.966
Se 0.782 0.297 0.044